1.
# Ho3Er5Sn
Simulated X-ray powder pattern, Cu Kα (weighted mean of Kα1 and Kα2). Input: a PBE-relaxed structure.
No peak broadening, texture or thermal motion is included.

Structure:
abc: 7.9517 7.9517 10.9058
angles: 95.26 95.26 60.26
Atoms (fractional coordinates):
Ho  0.0000  0.0000  0.0000
Ho  0.0000  0.0000  0.5000
Ho  0.2664  0.2664  0.4663
Ho  0.3340  0.3340  0.7863
Ho  0.6660  0.6660  0.2137
Ho  0.7336  0.7336  0.5337
Er  0.0729  0.6761  0.2326
Er  0.2392  0.2392  0.0454
Er  0.3239  0.9271  0.7674
Er  0.3340  0.6660  0.0000
Er  0.4955  0.4955  0.3562
Er  0.5045  0.5045  0.6438
Er  0.6660  0.3340  0.0000
Er  0.6761  0.0729  0.2326
Er  0.7608  0.7608  0.9546
Er  0.9271  0.3239  0.7674
Sn  0.0943  0.0943  0.2609
Sn  0.9057  0.9057  0.7391

Main lines, in order of falling intensity (2θ from 15° to 90°):
d/Å  2theta  intensity
3.236  27.57  100
2.763  32.40  86
3.041  29.37  74
3.992  22.27  59
2.573  34.87  58
2.801  31.95  54
2.431  36.98  53
2.711  33.04  47
2.597  34.54  46
3.133  28.49  46

***

2.
# Tb3HoEr2
Simulated X-ray powder pattern, Cu Kα (weighted mean of Kα1 and Kα2). Input: a PBE-relaxed structure.
No peak broadening, texture or thermal motion is included.

Structure:
abc: 7.1184 7.1202 8.7540
angles: 90.05 101.71 119.97
Atoms (fractional coordinates):
Tb  0.9999  0.2495  0.0008
Tb  0.0001  0.7505  0.9992
Tb  0.2216  0.3607  0.6659
Tb  0.2784  0.6394  0.3346
Tb  0.7216  0.3606  0.6654
Tb  0.7784  0.6393  0.3341
Ho  0.5000  0.2496  0.0007
Ho  0.5000  0.7504  0.9993
Er  0.2227  0.8620  0.6666
Er  0.2776  0.1382  0.3339
Er  0.7224  0.8618  0.6661
Er  0.7773  0.1380  0.3334

Main lines, in order of falling intensity (2θ from 15° to 90°):
d/Å  2theta  intensity
2.776  32.24  100
2.639  33.97  88
2.836  31.54  50
1.508  61.50  45
1.780  51.33  39
3.061  29.17  37
1.656  55.48  21
1.569  58.84  19
1.499  61.92  16
2.997  29.81  15

***

3.
# Tb4HoEr6
Simulated X-ray powder pattern, Cu Kα (weighted mean of Kα1 and Kα2). Input: a PBE-relaxed structure.
No peak broadening, texture or thermal motion is included.

Structure:
abc: 8.4049 8.4049 8.4049
angles: 126.68 126.68 78.77
Atoms (fractional coordinates):
Tb  0.2534  0.2534  0.6601
Tb  0.4067  0.7466  0.0000
Tb  0.5933  0.5933  0.3399
Tb  0.7466  0.4067  0.0000
Ho  0.0000  0.0000  0.0000
Er  0.0000  0.5000  0.5000
Er  0.0568  0.5749  0.0000
Er  0.4251  0.4251  0.4819
Er  0.5000  0.0000  0.5000
Er  0.5749  0.0568  0.0000
Er  0.9432  0.9432  0.5181

Main lines, in order of falling intensity (2θ from 15° to 90°):
d/Å  2theta  intensity
3.263  27.34  100
2.774  32.27  94
2.665  33.63  89
1.632  56.37  40
2.460  36.53  33
2.468  36.41  32
2.239  40.28  25
1.492  62.23  24
1.922  47.28  24
3.770  23.60  22